CuH2PbSO6: theoretical powder X-ray diffraction pattern (Cu Kα (λ = 1.5418 Å)), based on a cell relaxed with PBE.
Lines closer than 0.1° are merged.

Atomic structure:
```
22
Lattice="4.746 0.000 0.000 0.000 5.728 0.000 -1.986 0.000 9.726" Properties=species:S:1:pos:R:3 pbc="T T T"
Cu 0.000 0.000 0.000
Cu 0.000 2.864 0.000
H 1.522 1.432 1.287
H 2.001 4.296 0.523
H 0.759 1.432 9.204
H 1.239 4.296 8.439
Pb 0.813 4.296 3.312
Pb 1.948 1.432 6.414
S -0.718 4.296 6.486
S 3.479 1.432 3.240
O -0.781 1.432 4.638
O -1.202 3.074 7.220
O -1.202 5.519 7.220
O 1.060 4.296 0.894
O 1.295 1.432 0.326
O 0.777 4.296 6.529
O 1.983 1.432 3.198
O 1.465 4.296 9.400
O 1.701 1.432 8.833
O 3.962 0.209 2.506
O 3.962 2.655 2.506
O 3.541 4.296 5.088
```

Most intense lines, 10° ≤ 2θ ≤ 90°, sorted by position:
| (hkl) | Position (°2θ) | d [Å] | intensity |
| --- | --- | --- | --- |
| 0 1 1 | 18.0 | 4.936 | 60 |
| 1 0 -1 | 19.4 | 4.566 | 84 |
| 1 1 0 | 24.7 | 3.610 | 100 |
| 0 0 3 | 27.5 | 3.242 | 85 |
| 1 1 1 | 27.7 | 3.225 | 62 |
| 1 1 -2 | 28.4 | 3.142 | 56 |